This entry pairs a crystal structure of CuAg3Au with its calculated XRD peak list. Radiation: Cu Kα X-rays. Structure: a crystal structure in Alexandria, relaxed with PBE.

Crystal structure
a = 7.112 Å, b = 5.645 Å, c = 8.867 Å
α = 90.00°, β = 106.63°, γ = 90.00°
Positions (direct):
Cu: 0.099 0.199 0.390
Cu: 0.099 0.801 0.890
Cu: 0.901 0.199 0.110
Cu: 0.901 0.801 0.610
Ag: 0.097 0.296 0.910
Ag: 0.097 0.704 0.410
Ag: 0.289 0.491 0.205
Ag: 0.289 0.509 0.705
Ag: 0.488 0.249 0.499
Ag: 0.488 0.751 0.999
Ag: 0.512 0.249 0.001
Ag: 0.512 0.751 0.501
Ag: 0.711 0.491 0.295
Ag: 0.711 0.509 0.795
Ag: 0.903 0.296 0.590
Ag: 0.903 0.704 0.090
Au: 0.273 0.008 0.691
Au: 0.273 0.992 0.191
Au: 0.727 0.008 0.809
Au: 0.727 0.992 0.309

Peak list (10 most intense, 15 to 90 degrees two-theta, most intense first)
38.29 deg, I 1000, hkl 2 0 2
41.55 deg, I 488, hkl 2 2 0
39.26 deg, I 472, hkl 3 0 -2
40.71 deg, I 448, hkl 1 0 -4
38.48 deg, I 448, hkl 1 2 -2
60.13 deg, I 170, hkl 3 2 -4
59.02 deg, I 152, hkl 1 2 4
51.65 deg, I 118, hkl 3 2 0
73.65 deg, I 110, hkl 4 2 2
74.78 deg, I 90, hkl 5 2 -2